# Sm3ReO7
Theoretical XRD peak list, Cu Kα (weighted mean of Kα1 and Kα2). Input: the PBE geometry in OQMD.
Peak positions follow from Bragg's law for the DFT cell and can differ from measured ones.

Crystal structure
```
data_Sm3ReO7
_chemical_formula_sum 'Sm12 Re4 O28'
_cell_length_a 10.760
_cell_length_b 7.354
_cell_length_c 7.509
_cell_angle_alpha 90.00
_cell_angle_beta 90.00
_cell_angle_gamma 90.00
_space_group_name_H-M_alt 'C m c m'
_space_group_IT_number 63
_space_group_name_Hall '-C 2c 2'
loop_
_atom_site_label
_atom_site_type_symbol
_atom_site_fract_x
_atom_site_fract_y
_atom_site_fract_z
Sm1 Sm 0.000 0.000 0.000
Sm2 Sm 0.224 0.302 0.250
Re1 Re 0.000 0.500 0.000
O1 O 0.000 0.420 0.250
O2 O 0.127 0.310 0.539
O3 O 0.131 0.025 0.250
```

Main lines, in order of rising 2θ (15° ≤ 2θ ≤ 90°):
h k l  2θ/deg  Rel. int.
2 0 2  29.0  100
2 2 0  29.4  86
2 2 1  31.8  11
4 0 0  33.3  23
0 2 2  34.1  43
0 0 4  48.5  63
6 0 2  56.9  10
2 2 4  57.7  26
2 4 2  58.5  15
4 0 4  60.1  10


# La2PrSmSe3O4
Theoretical XRD peak list, Cu Kα (weighted mean of Kα1 and Kα2). Input: the PBE geometry in OQMD.
Peak positions follow from Bragg's law for the DFT cell and can differ from measured ones.

Crystal structure
```
data_La2PrSmSe3O4
_chemical_formula_sum 'La4 Pr2 Sm2 Se6 O8'
_cell_length_a 8.499
_cell_length_b 4.050
_cell_length_c 12.988
_cell_angle_alpha 90.00
_cell_angle_beta 90.00
_cell_angle_gamma 90.00
_space_group_name_H-M_alt 'A m m 2'
_space_group_IT_number 38
loop_
_space_group_symop_operation_xyz
'x,y,z'
'-x,-y,z'
'-x,y,z'
'x,-y,z'
'x,y+1/2,z+1/2'
'-x,-y+1/2,z+1/2'
'-x,y+1/2,z+1/2'
'x,-y+1/2,z+1/2'
loop_
_atom_site_label
_atom_site_type_symbol
_atom_site_fract_x
_atom_site_fract_y
_atom_site_fract_z
La1 La 0.237 0.000 0.000
Pr1 Pr 0.500 0.000 0.330
Sm1 Sm 0.000 0.000 0.318
Se1 Se 0.000 0.000 0.635
Se2 Se 0.351 0.000 0.674
O1 O 0.000 0.000 0.902
O2 O 0.240 0.000 0.403
O3 O 0.500 0.000 0.931
```

Main lines, in order of rising 2θ (15° ≤ 2θ ≤ 90°):
h k l  2θ/deg  Rel. int.
2 0 2  25.0  54
0 1 3  30.2  100
2 1 1  31.3  53
2 0 4  34.8  27
0 0 6  41.7  15
0 2 0  44.7  20
2 1 5  46.7  23
2 2 2  52.0  15
4 1 3  53.1  16
2 1 7  58.9  15


# TlOsAu3O4
Theoretical XRD peak list, Cu Kα (weighted mean of Kα1 and Kα2). Input: the PBE geometry in OQMD.
Peak positions follow from Bragg's law for the DFT cell and can differ from measured ones.

Crystal structure
```
data_TlOsAu3O4
_chemical_formula_sum 'Tl1 Os1 Au3 O4'
_cell_length_a 5.763
_cell_length_b 5.763
_cell_length_c 5.763
_cell_angle_alpha 90.00
_cell_angle_beta 90.00
_cell_angle_gamma 90.00
_space_group_name_H-M_alt 'P -4 3 m'
_space_group_IT_number 215
_space_group_name_Hall 'P -4 2 3'
loop_
_atom_site_label
_atom_site_type_symbol
_atom_site_fract_x
_atom_site_fract_y
_atom_site_fract_z
Tl1 Tl 0.000 0.000 0.000
Os1 Os 0.500 0.500 0.500
Au1 Au 0.000 0.500 0.500
O1 O 0.308 0.308 0.308
```

Main lines, in order of rising 2θ (15° ≤ 2θ ≤ 90°):
h k l  2θ/deg  Rel. int.
1 0 0  15.4  27
1 1 0  21.8  22
1 1 1  26.8  82
2 0 0  31.0  100
2 2 0  44.5  91
3 1 1  52.7  41
2 2 2  55.2  29
3 3 1  71.3  16
4 2 0  73.5  39
4 2 2  81.9  30


# CuAg3
Theoretical XRD peak list, Cu Kα (weighted mean of Kα1 and Kα2). Input: the PBE geometry in OQMD.
Peak positions follow from Bragg's law for the DFT cell and can differ from measured ones.

Crystal structure
```
data_CuAg3
_chemical_formula_sum 'Cu2 Ag6'
_cell_length_a 4.923
_cell_length_b 5.760
_cell_length_c 4.959
_cell_angle_alpha 90.00
_cell_angle_beta 109.40
_cell_angle_gamma 90.00
_space_group_name_H-M_alt 'P 1 2/c 1'
_space_group_IT_number 13
loop_
_space_group_symop_operation_xyz
'x,y,z'
'-x,-y,-z'
'-x,y,-z+1/2'
'x,-y,z+1/2'
loop_
_atom_site_label
_atom_site_type_symbol
_atom_site_fract_x
_atom_site_fract_y
_atom_site_fract_z
Cu1 Cu 0.000 0.119 0.250
Ag1 Ag 0.000 0.365 0.750
Ag2 Ag 0.500 0.119 0.750
Ag3 Ag 0.500 0.370 0.250
```

Main lines, in order of rising 2θ (15° ≤ 2θ ≤ 90°):
h k l  2θ/deg  Rel. int.
0 0 2  38.4  100
2 0 0  38.8  33
1 2 1  44.7  43
2 0 -2  45.0  21
1 2 -3  65.1  13
2 0 2  65.4  19
0 4 2  77.9  7
2 4 0  78.1  7
1 2 3  78.3  8
3 2 1  78.6  15


# HoTmSnPd2
Theoretical XRD peak list, Cu Kα (weighted mean of Kα1 and Kα2). Input: the PBE geometry in OQMD.
Peak positions follow from Bragg's law for the DFT cell and can differ from measured ones.

Crystal structure
```
data_HoTmSnPd2
_chemical_formula_sum 'Ho2 Tm2 Sn2 Pd4'
_cell_length_a 3.532
_cell_length_b 4.252
_cell_length_c 14.552
_cell_angle_alpha 90.00
_cell_angle_beta 90.00
_cell_angle_gamma 90.00
_space_group_name_H-M_alt 'A m m 2'
_space_group_IT_number 38
loop_
_space_group_symop_operation_xyz
'x,y,z'
'-x,-y,z'
'-x,y,z'
'x,-y,z'
'x,y+1/2,z+1/2'
'-x,-y+1/2,z+1/2'
'-x,y+1/2,z+1/2'
'x,-y+1/2,z+1/2'
loop_
_atom_site_label
_atom_site_type_symbol
_atom_site_fract_x
_atom_site_fract_y
_atom_site_fract_z
Ho1 Ho 0.000 0.000 0.000
Tm1 Tm 0.000 0.000 0.264
Sn1 Sn 0.500 0.000 0.632
Pd1 Pd 0.500 0.000 0.441
Pd2 Pd 0.500 0.000 0.821
```

Main lines, in order of rising 2θ (15° ≤ 2θ ≤ 90°):
h k l  2θ/deg  Rel. int.
0 1 3  27.9  15
1 1 1  33.6  100
1 0 4  35.4  51
0 1 5  37.4  53
1 1 3  38.0  45
0 2 0  42.5  32
2 0 0  51.8  18
1 2 4  56.5  27
2 1 5  65.6  20
2 2 0  69.2  15


# NaNbF6
Theoretical XRD peak list, Cu Kα (weighted mean of Kα1 and Kα2). Input: the PBE geometry in OQMD.
Peak positions follow from Bragg's law for the DFT cell and can differ from measured ones.

Crystal structure
```
data_NaNbF6
_chemical_formula_sum 'Na2 Nb2 F12'
_cell_length_a 4.722
_cell_length_b 4.722
_cell_length_c 8.738
_cell_angle_alpha 90.00
_cell_angle_beta 90.00
_cell_angle_gamma 90.00
_space_group_name_H-M_alt 'P -4 c 2'
_space_group_IT_number 116
loop_
_space_group_symop_operation_xyz
'x,y,z'
'y,-x,-z'
'-x,-y,z'
'-y,x,-z'
'-x,y,z+1/2'
'-y,-x,-z+1/2'
'x,-y,z+1/2'
'y,x,-z+1/2'
loop_
_atom_site_label
_atom_site_type_symbol
_atom_site_fract_x
_atom_site_fract_y
_atom_site_fract_z
Na1 Na 0.000 0.000 0.000
Nb1 Nb 0.500 0.500 0.250
F1 F 0.211 0.211 0.250
F2 F 0.289 0.299 0.597
```

Main lines, in order of rising 2θ (15° ≤ 2θ ≤ 90°):
h k l  2θ/deg  Rel. int.
1 0 0  18.8  88
0 0 2  20.3  37
1 1 0  26.7  88
1 0 2  27.8  100
1 1 2  33.8  29
1 1 3  41.1  35
2 1 2  47.8  74
1 1 4  49.9  25
2 2 0  55.0  26
3 0 2  62.7  22


# Sm2CdSbAs
Theoretical XRD peak list, Cu Kα (weighted mean of Kα1 and Kα2). Input: the PBE geometry in OQMD.
Peak positions follow from Bragg's law for the DFT cell and can differ from measured ones.

Crystal structure
```
data_Sm2CdSbAs
_chemical_formula_sum 'Sm8 Cd4 Sb4 As4'
_cell_length_a 4.359
_cell_length_b 18.750
_cell_length_c 6.527
_cell_angle_alpha 90.00
_cell_angle_beta 90.00
_cell_angle_gamma 90.00
_space_group_name_H-M_alt 'C m c 21'
_space_group_IT_number 36
loop_
_space_group_symop_operation_xyz
'x,y,z'
'-x,-y,z+1/2'
'-x,y,z'
'x,-y,z+1/2'
'x+1/2,y+1/2,z'
'-x+1/2,-y+1/2,z+1/2'
'-x+1/2,y+1/2,z'
'x+1/2,-y+1/2,z+1/2'
loop_
_atom_site_label
_atom_site_type_symbol
_atom_site_fract_x
_atom_site_fract_y
_atom_site_fract_z
Sm1 Sm 0.000 0.016 0.000
Sm2 Sm 0.000 0.207 0.655
Cd1 Cd 0.000 0.394 0.785
Sb1 Sb 0.000 0.409 0.228
As1 As 0.000 0.184 0.156
```

Main lines, in order of rising 2θ (15° ≤ 2θ ≤ 90°):
h k l  2θ/deg  Rel. int.
0 0 2  27.3  14
1 3 1  28.5  18
0 2 2  29.0  18
1 5 0  31.5  100
0 4 2  33.5  22
1 1 2  34.7  45
1 3 2  37.3  22
0 6 2  39.9  13
2 0 0  41.4  27
1 5 2  42.2  16


# Li2Al2Cd2IrPt
Theoretical XRD peak list, Cu Kα (weighted mean of Kα1 and Kα2). Input: the PBE geometry in OQMD.
Peak positions follow from Bragg's law for the DFT cell and can differ from measured ones.

Crystal structure
```
data_Li2Al2Cd2IrPt
_chemical_formula_sum 'Li2 Al2 Cd2 Ir1 Pt1'
_cell_length_a 4.456
_cell_length_b 4.456
_cell_length_c 6.304
_cell_angle_alpha 90.00
_cell_angle_beta 90.00
_cell_angle_gamma 90.00
_space_group_name_H-M_alt 'P -4 m 2'
_space_group_IT_number 115
loop_
_space_group_symop_operation_xyz
'x,y,z'
'y,-x,-z'
'-x,-y,z'
'-y,x,-z'
'-x,y,z'
'-y,-x,-z'
'x,-y,z'
'y,x,-z'
loop_
_atom_site_label
_atom_site_type_symbol
_atom_site_fract_x
_atom_site_fract_y
_atom_site_fract_z
Li1 Li 0.000 0.000 0.000
Li2 Li 0.500 0.500 0.500
Al1 Al 0.000 0.500 0.240
Cd1 Cd 0.000 0.500 0.750
Ir1 Ir 0.500 0.500 0.000
Pt1 Pt 0.000 0.000 0.500
```

Main lines, in order of rising 2θ (15° ≤ 2θ ≤ 90°):
h k l  2θ/deg  Rel. int.
1 0 1  24.5  91
0 0 2  28.3  3
2 0 0  40.5  100
2 1 1  47.9  46
2 2 0  58.6  17
3 0 1  64.4  19
1 1 4  66.3  2
3 1 2  73.6  34
1 0 5  78.9  14
4 0 0  87.6  11


# TmAlSnSe3
Theoretical XRD peak list, Cu Kα (weighted mean of Kα1 and Kα2). Input: the PBE geometry in OQMD.
Peak positions follow from Bragg's law for the DFT cell and can differ from measured ones.

Crystal structure
```
data_TmAlSnSe3
_chemical_formula_sum 'Tm4 Al4 Sn4 Se12'
_cell_length_a 3.970
_cell_length_b 14.800
_cell_length_c 10.862
_cell_angle_alpha 90.00
_cell_angle_beta 90.00
_cell_angle_gamma 90.00
_space_group_name_H-M_alt 'C m c m'
_space_group_IT_number 63
_space_group_name_Hall '-C 2c 2'
loop_
_atom_site_label
_atom_site_type_symbol
_atom_site_fract_x
_atom_site_fract_y
_atom_site_fract_z
Tm1 Tm 0.000 0.000 0.000
Al1 Al 0.000 0.357 0.250
Sn1 Sn 0.000 0.290 0.750
Se1 Se 0.000 0.030 0.750
Se2 Se 0.000 0.364 0.505
```

Main lines, in order of rising 2θ (15° ≤ 2θ ≤ 90°):
h k l  2θ/deg  Rel. int.
0 2 2  20.3  34
1 1 1  24.6  17
0 4 1  25.4  13
1 3 0  28.9  100
0 0 4  33.0  47
1 5 2  41.5  29
1 3 4  44.4  62
2 0 0  45.7  24
2 0 4  57.5  21
1 3 8  76.6  12


# YTlCdS3
Theoretical XRD peak list, Cu Kα (weighted mean of Kα1 and Kα2). Input: the PBE geometry in OQMD.
Peak positions follow from Bragg's law for the DFT cell and can differ from measured ones.

Crystal structure
```
data_YTlCdS3
_chemical_formula_sum 'Y2 Tl2 Cd2 S6'
_cell_length_a 8.019
_cell_length_b 4.113
_cell_length_c 10.401
_cell_angle_alpha 90.00
_cell_angle_beta 107.64
_cell_angle_gamma 90.00
_space_group_name_H-M_alt 'P 1 21/m 1'
_space_group_IT_number 11
loop_
_space_group_symop_operation_xyz
'x,y,z'
'-x,-y,-z'
'-x,y+1/2,-z'
'x,-y+1/2,z'
loop_
_atom_site_label
_atom_site_type_symbol
_atom_site_fract_x
_atom_site_fract_y
_atom_site_fract_z
Y1 Y 0.192 0.250 0.130
Tl1 Tl 0.229 0.750 0.731
Cd1 Cd 0.430 0.750 0.383
S1 S 0.038 0.250 0.862
S2 S 0.261 0.250 0.426
S3 S 0.426 0.750 0.141
```

Main lines, in order of rising 2θ (15° ≤ 2θ ≤ 90°):
h k l  2θ/deg  Rel. int.
1 0 1  16.7  57
0 0 2  17.9  48
2 0 -2  24.7  59
1 0 -3  25.9  36
1 1 1  27.4  48
1 1 -2  28.4  80
2 1 -1  31.2  100
1 0 3  32.6  65
2 1 1  35.2  70
0 2 0  44.0  38


# CsK2AuO2
Theoretical XRD peak list, Cu Kα (weighted mean of Kα1 and Kα2). Input: the PBE geometry in OQMD.
Peak positions follow from Bragg's law for the DFT cell and can differ from measured ones.

Crystal structure
```
data_CsK2AuO2
_chemical_formula_sum 'Cs4 K8 Au4 O8'
_cell_length_a 12.578
_cell_length_b 7.270
_cell_length_c 6.278
_cell_angle_alpha 90.00
_cell_angle_beta 90.00
_cell_angle_gamma 90.00
_space_group_name_H-M_alt 'P n m a'
_space_group_IT_number 62
loop_
_space_group_symop_operation_xyz
'x,y,z'
'-x,-y,-z'
'-x+1/2,-y,z+1/2'
'x+1/2,y,-z+1/2'
'x+1/2,-y+1/2,-z+1/2'
'-x+1/2,y+1/2,z+1/2'
'-x,y+1/2,-z'
'x,-y+1/2,z'
loop_
_atom_site_label
_atom_site_type_symbol
_atom_site_fract_x
_atom_site_fract_y
_atom_site_fract_z
Cs1 Cs 0.094 0.250 0.178
K1 K 0.140 0.502 0.640
Au1 Au 0.123 0.750 0.173
O1 O 0.017 0.750 0.418
O2 O 0.227 0.750 0.926
```

Main lines, in order of rising 2θ (15° ≤ 2θ ≤ 90°):
h k l  2θ/deg  Rel. int.
2 0 1  20.0  63
0 2 0  24.5  30
4 0 0  28.4  42
1 0 2  29.3  41
2 2 1  31.8  100
3 0 2  35.7  31
4 2 0  37.9  20
1 0 3  43.8  19
1 2 3  50.9  18
5 2 3  63.2  17


# BaHoMgAs2
Theoretical XRD peak list, Cu Kα (weighted mean of Kα1 and Kα2). Input: the PBE geometry in OQMD.
Peak positions follow from Bragg's law for the DFT cell and can differ from measured ones.

Crystal structure
```
data_BaHoMgAs2
_chemical_formula_sum 'Ba4 Ho4 Mg4 As8'
_cell_length_a 4.393
_cell_length_b 18.087
_cell_length_c 6.938
_cell_angle_alpha 90.00
_cell_angle_beta 90.00
_cell_angle_gamma 90.00
_space_group_name_H-M_alt 'C m c 21'
_space_group_IT_number 36
loop_
_space_group_symop_operation_xyz
'x,y,z'
'-x,-y,z+1/2'
'-x,y,z'
'x,-y,z+1/2'
'x+1/2,y+1/2,z'
'-x+1/2,-y+1/2,z+1/2'
'-x+1/2,y+1/2,z'
'x+1/2,-y+1/2,z+1/2'
loop_
_atom_site_label
_atom_site_type_symbol
_atom_site_fract_x
_atom_site_fract_y
_atom_site_fract_z
Ba1 Ba 0.000 0.197 0.000
Ho1 Ho 0.000 0.027 0.296
Mg1 Mg 0.000 0.400 0.126
As1 As 0.000 0.163 0.502
As2 As 0.000 0.451 0.503
```

Main lines, in order of rising 2θ (15° ≤ 2θ ≤ 90°):
h k l  2θ/deg  Rel. int.
1 1 0  20.8  34
0 2 2  27.5  37
1 3 1  28.2  43
1 5 0  32.1  46
0 6 1  32.4  27
1 1 2  33.3  27
1 3 2  36.2  100
2 0 0  41.1  30
1 9 1  51.7  20
2 6 3  66.4  17